Record 1
For Li4MnCo2O7, a crystal structure in the Materials Project, relaxed with GGA+U gives the computed X-ray diffraction stick pattern in this record (Cu Kα (λ = 1.5418 Å)).
Kinematic intensities with the Lorentz-polarization factor, no thermal factor.

Cell and atoms:
Lattice parameters (Å, degrees): 10.293 10.293 5.180 95.40 95.40 150.89
Fractional coordinates of all 28 atoms:
Li: 0.000 0.000 0.000
Li: 0.147 0.853 0.000
Li: 0.292 0.708 0.000
Li: 0.434 0.566 0.000
Li: 0.574 0.426 0.000
Li: 0.718 0.282 0.000
Li: 0.863 0.137 0.000
Li: 0.933 0.067 0.500
Mn: 0.073 0.927 0.500
Mn: 0.219 0.781 0.500
Co: 0.361 0.639 0.500
Co: 0.501 0.499 0.500
Co: 0.647 0.353 0.500
Co: 0.791 0.209 0.500
O: 0.064 0.481 0.264
O: 0.115 0.400 0.707
O: 0.215 0.353 0.271
O: 0.244 0.226 0.739
O: 0.328 0.179 0.293
O: 0.375 0.081 0.735
O: 0.496 0.060 0.272
O: 0.519 0.936 0.736
O: 0.600 0.885 0.293
O: 0.647 0.785 0.729
O: 0.774 0.756 0.261
O: 0.821 0.672 0.707
O: 0.919 0.625 0.265
O: 0.940 0.504 0.728

Principal peaks in the range 5 to 70 degrees two-theta, most intense first:
18.5 deg, I = 1000; 44.7 deg, I = 525; 42.1 deg, I = 315; 63.0 deg, I = 307; 36.7 deg, I = 234; 35.0 deg, I = 171; 65.6 deg, I = 110; 58.8 deg, I = 97; 47.7 deg, I = 94; 8.9 deg, I = 85

Record 2
For Li7Mn4CoO12, a crystal structure in the Materials Project, relaxed with GGA+U gives the computed X-ray diffraction stick pattern in this record (Cu Kα (λ = 1.5418 Å)).
Kinematic intensities with the Lorentz-polarization factor, no thermal factor.

Cell and atoms:
Lattice parameters (Å, degrees): 5.961 6.540 6.566 71.60 64.17 76.74
Fractional coordinates of all 24 atoms:
Li: 0.000 0.000 0.000
Li: 0.078 0.319 0.168
Li: 0.160 0.648 0.325
Li: 0.332 0.322 0.660
Li: 0.484 0.997 0.001
Li: 0.661 0.649 0.337
Li: 0.831 0.316 0.666
Mn: 0.406 0.653 0.835
Mn: 0.571 0.323 0.170
Mn: 0.752 0.991 0.491
Mn: 0.916 0.655 0.831
Co: 0.245 0.993 0.489
O: 0.060 0.664 0.046
O: 0.091 0.980 0.273
O: 0.232 0.318 0.401
O: 0.309 0.653 0.595
O: 0.396 0.970 0.736
O: 0.457 0.339 0.928
O: 0.521 0.640 0.082
O: 0.633 0.007 0.250
O: 0.699 0.302 0.407
O: 0.767 0.670 0.600
O: 0.858 0.976 0.736
O: 0.920 0.343 0.927

Principal peaks in the range 5 to 70 degrees two-theta, most intense first:
18.4 deg, I = 1000; 42.7 deg, I = 309; 43.6 deg, I = 294; 44.0 deg, I = 283; 63.2 deg, I = 154; 35.2 deg, I = 148; 36.3 deg, I = 127; 35.9 deg, I = 124; 62.3 deg, I = 80; 62.8 deg, I = 79

Record 3
For Li7Mn4CoO12, a crystal structure in the Materials Project, relaxed with GGA+U gives the computed X-ray diffraction stick pattern in this record (Cu Kα (λ = 1.5418 Å)).
Kinematic intensities with the Lorentz-polarization factor, no thermal factor.

Cell and atoms:
Lattice parameters (Å, degrees): 10.042 10.042 5.189 101.39 101.39 117.33
Fractional coordinates of all 48 atoms:
Li: 0.000 0.500 0.500
Li: 0.080 0.421 0.999
Li: 0.083 0.917 0.000
Li: 0.248 0.248 0.007
Li: 0.250 0.750 0.000
Li: 0.416 0.584 0.000
Li: 0.421 0.080 0.999
Li: 0.500 0.000 0.500
Li: 0.579 0.920 0.001
Li: 0.584 0.416 0.000
Li: 0.750 0.250 0.000
Li: 0.752 0.752 0.993
Li: 0.917 0.083 0.000
Li: 0.920 0.579 0.001
Mn: 0.167 0.336 0.495
Mn: 0.167 0.833 0.500
Mn: 0.333 0.667 0.500
Mn: 0.336 0.167 0.495
Mn: 0.664 0.833 0.505
Mn: 0.667 0.333 0.500
Mn: 0.833 0.167 0.500
Mn: 0.833 0.664 0.505
Co: 0.000 0.000 0.500
Co: 0.500 0.500 0.500
O: 0.029 0.194 0.732
O: 0.045 0.718 0.714
O: 0.136 0.136 0.271
O: 0.140 0.640 0.265
O: 0.194 0.029 0.732
O: 0.216 0.543 0.712
O: 0.282 0.955 0.286
O: 0.305 0.473 0.262
O: 0.360 0.860 0.735
O: 0.377 0.377 0.708
O: 0.457 0.784 0.288
O: 0.473 0.305 0.262
O: 0.527 0.695 0.738
O: 0.543 0.216 0.712
O: 0.623 0.623 0.292
O: 0.640 0.140 0.265
O: 0.695 0.527 0.738
O: 0.718 0.045 0.714
O: 0.784 0.457 0.288
O: 0.806 0.971 0.268
O: 0.860 0.360 0.735
O: 0.864 0.864 0.729
O: 0.955 0.282 0.286
O: 0.971 0.806 0.268

Principal peaks in the range 5 to 70 degrees two-theta, most intense first:
18.5 deg, I = 1000; 44.5 deg, I = 552; 41.8 deg, I = 327; 36.5 deg, I = 244; 62.5 deg, I = 162; 62.9 deg, I = 154; 34.7 deg, I = 154; 10.3 deg, I = 133; 58.7 deg, I = 95; 47.5 deg, I = 84

Copy entry 3 word for word.
For Li7Mn4CoO12, a crystal structure in the Materials Project, relaxed with GGA+U gives the computed X-ray diffraction stick pattern in this record (Cu Kα (λ = 1.5418 Å)).
Kinematic intensities with the Lorentz-polarization factor, no thermal factor.

Cell and atoms:
Lattice parameters (Å, degrees): 10.042 10.042 5.189 101.39 101.39 117.33
Fractional coordinates of all 48 atoms:
Li: 0.000 0.500 0.500
Li: 0.080 0.421 0.999
Li: 0.083 0.917 0.000
Li: 0.248 0.248 0.007
Li: 0.250 0.750 0.000
Li: 0.416 0.584 0.000
Li: 0.421 0.080 0.999
Li: 0.500 0.000 0.500
Li: 0.579 0.920 0.001
Li: 0.584 0.416 0.000
Li: 0.750 0.250 0.000
Li: 0.752 0.752 0.993
Li: 0.917 0.083 0.000
Li: 0.920 0.579 0.001
Mn: 0.167 0.336 0.495
Mn: 0.167 0.833 0.500
Mn: 0.333 0.667 0.500
Mn: 0.336 0.167 0.495
Mn: 0.664 0.833 0.505
Mn: 0.667 0.333 0.500
Mn: 0.833 0.167 0.500
Mn: 0.833 0.664 0.505
Co: 0.000 0.000 0.500
Co: 0.500 0.500 0.500
O: 0.029 0.194 0.732
O: 0.045 0.718 0.714
O: 0.136 0.136 0.271
O: 0.140 0.640 0.265
O: 0.194 0.029 0.732
O: 0.216 0.543 0.712
O: 0.282 0.955 0.286
O: 0.305 0.473 0.262
O: 0.360 0.860 0.735
O: 0.377 0.377 0.708
O: 0.457 0.784 0.288
O: 0.473 0.305 0.262
O: 0.527 0.695 0.738
O: 0.543 0.216 0.712
O: 0.623 0.623 0.292
O: 0.640 0.140 0.265
O: 0.695 0.527 0.738
O: 0.718 0.045 0.714
O: 0.784 0.457 0.288
O: 0.806 0.971 0.268
O: 0.860 0.360 0.735
O: 0.864 0.864 0.729
O: 0.955 0.282 0.286
O: 0.971 0.806 0.268

Principal peaks in the range 5 to 70 degrees two-theta, most intense first:
18.5 deg, I = 1000; 44.5 deg, I = 552; 41.8 deg, I = 327; 36.5 deg, I = 244; 62.5 deg, I = 162; 62.9 deg, I = 154; 34.7 deg, I = 154; 10.3 deg, I = 133; 58.7 deg, I = 95; 47.5 deg, I = 84